Simulated X-ray diffraction stick pattern of K17Rb11Mg for Cu Kα (weighted mean of Kα1 and Kα2), from a crystal structure in Alexandria, relaxed with PBE.
Neutral-atom scattering factors, no anomalous dispersion.

Main lines, sorted by position (2θ from 10° to 90°):
d [Å]  Rel. int.
4.232  39
4.136  40
3.998  55
3.960  100
3.907  82
3.881  88
3.791  96
3.590  50
3.571  80
3.531  57
3.348  42
3.324  47

```
K17Rb11Mg
1.0
8.299 -11.904 0.000
8.299 11.904 0.000
-7.367 0.000 11.397
K Rb Mg
17 11 1
direct
0.000 0.000 0.000
0.009 0.404 0.994
0.040 0.626 0.340
0.041 0.041 0.372
0.057 0.356 0.616
0.317 0.701 0.679
0.356 0.057 0.616
0.365 0.611 0.043
0.404 0.009 0.994
0.419 0.419 0.719
0.458 0.760 0.422
0.611 0.365 0.043
0.626 0.040 0.340
0.665 0.665 0.635
0.701 0.317 0.679
0.734 0.734 0.312
0.760 0.458 0.422
0.048 0.651 0.817
0.059 0.869 0.651
0.228 0.409 0.331
0.230 0.855 0.215
0.253 0.253 0.941
0.409 0.228 0.331
0.647 0.835 0.010
0.651 0.048 0.817
0.835 0.647 0.010
0.855 0.230 0.215
0.869 0.059 0.651
0.493 0.493 0.270
```